The following is a theoretical powder X-ray diffraction pattern of FeAg2Hg. It was derived from a DFT-relaxed cell (PBE, Alexandria), using λ = 1.5418 Å (Cu Kα).
Lines closer than 0.1° are merged.

Structural model:
a = 5.8313 Å, b = 8.2245 Å, c = 2.9600 Å
α = 90.00°, β = 90.00°, γ = 90.00°
Space group Cmmm (No. 65)
Unique sites:
Fe  0.0000  0.0000  0.0000
Ag  0.2500  0.2500  0.5000
Hg  0.0000  0.5000  0.0000

Largest 6 diffraction maxima, most intense first, 5 to 70 degrees two-theta:
Position (°2θ)	Rel. int.	hkl
37.43	100	0 2 1
37.83	97	2 2 0
43.57	65	2 0 1
18.65	45	1 1 0
63.68	41	2 4 1
44.04	31	0 4 0

=====

The following is a theoretical powder X-ray diffraction pattern of FeAg4Hg. It was derived from a DFT-relaxed cell (PBE, Alexandria), using λ = 1.5418 Å (Cu Kα).
Lines closer than 0.1° are merged.

Structural model:
a = 7.7325 Å, b = 7.7325 Å, c = 7.7325 Å
α = 90.00°, β = 90.00°, γ = 90.00°
Space group F-43m (No. 216)
Unique sites:
Fe  0.0000  0.0000  0.0000
Ag  0.1253  0.1253  0.3747
Hg  0.2500  0.2500  0.7500

Largest 6 diffraction maxima, most intense first, 5 to 70 degrees two-theta:
Position (°2θ)	Rel. int.	hkl
38.62	100	3 1 1
40.41	37	2 2 2
62.40	32	5 1 1
32.76	30	2 2 0
68.66	25	4 4 0
58.47	11	4 2 2

=====

The following is a theoretical powder X-ray diffraction pattern of FeAg2Hg. It was derived from a DFT-relaxed cell (PBE, Alexandria), using λ = 1.5418 Å (Cu Kα).
Lines closer than 0.1° are merged.

Structural model:
a = 2.9935 Å, b = 4.8016 Å, c = 4.9084 Å
α = 90.00°, β = 90.00°, γ = 90.00°
Space group Pmmm (No. 47)
Unique sites:
Fe  0.0000  0.0000  0.0000
Ag  0.0000  0.5000  0.5000
Ag  0.5000  0.0000  0.5000
Hg  0.5000  0.5000  0.0000

Largest 6 diffraction maxima, most intense first, 5 to 70 degrees two-theta:
Position (°2θ)	Rel. int.	hkl
39.96	100	1 1 1
36.62	32	0 0 2
37.46	30	0 2 0
53.39	21	0 2 2
68.17	20	1 1 3
69.27	19	1 3 1

=====

The following is a theoretical powder X-ray diffraction pattern of Th2FeAgHg. It was derived from a DFT-relaxed cell (PBE, Alexandria), using λ = 1.5418 Å (Cu Kα).
Lines closer than 0.1° are merged.

Structural model:
a = 8.1601 Å, b = 3.8891 Å, c = 8.2298 Å
α = 90.00°, β = 112.82°, γ = 90.00°
Space group P2_1/m (No. 11)
Unique sites:
Th  0.1141  0.2500  0.3392
Th  0.2663  0.2500  0.9969
Fe  0.1104  0.7500  0.1083
Ag  0.4462  0.7500  0.3573
Hg  0.3027  0.7500  0.6896

Largest 6 diffraction maxima, most intense first, 5 to 70 degrees two-theta:
Position (°2θ)	Rel. int.	hkl
31.78	100	1 1 -2
35.50	61	0 0 3
32.99	57	3 0 -1
38.33	48	2 1 1
30.35	48	2 0 1
34.98	46	2 1 -2